Computed X-ray diffraction stick pattern of Sr2Ca2Co3CuO12 for λ = 1.5418 Å (Cu Kα), from a structure optimized by DFT (GGA+U).

abc: 7.6769 7.7195 7.6844
angles: 90.00 90.24 90.00
Positions (direct):
Sr (0.0000, 0.0000, 0.0000)
Sr (0.9998, 0.0000, 0.4991)
Sr (0.9999, 0.5000, 0.4988)
Sr (0.5012, 0.5000, 0.0006)
Ca (0.5018, 0.0000, 0.0020)
Ca (0.5017, 0.0000, 0.4974)
Ca (0.5018, 0.5000, 0.4982)
Ca (0.9993, 0.5000, 0.0011)
Co (0.2519, 0.2501, 0.7497)
Co (0.2519, 0.7499, 0.7497)
Co (0.2527, 0.2501, 0.2496)
Co (0.2527, 0.7499, 0.2496)
Co (0.7488, 0.2500, 0.7497)
Co (0.7488, 0.7500, 0.7497)
Cu (0.7505, 0.2500, 0.2496)
Cu (0.7505, 0.7500, 0.2496)
O (0.0031, 0.2524, 0.7521)
O (0.0031, 0.7476, 0.7521)
O (0.0072, 0.2531, 0.2462)
O (0.0072, 0.7469, 0.2462)
O (0.2530, 0.2497, 0.9968)
O (0.2534, 0.5000, 0.2500)
O (0.2533, 0.5000, 0.7492)
O (0.2530, 0.7503, 0.9968)
O (0.2549, 0.0000, 0.7498)
O (0.2567, 0.0000, 0.2496)
O (0.2573, 0.2498, 0.5023)
O (0.2573, 0.7502, 0.5023)
O (0.4953, 0.2474, 0.2526)
O (0.4953, 0.7526, 0.2526)
O (0.4975, 0.2480, 0.7476)
O (0.4975, 0.7520, 0.7476)
O (0.7372, 0.0000, 0.2493)
O (0.7408, 0.0000, 0.7496)
O (0.7426, 0.2501, 0.5055)
O (0.7426, 0.7499, 0.5055)
O (0.7477, 0.5000, 0.2500)
O (0.7481, 0.5000, 0.7494)
O (0.7489, 0.2498, 0.9937)
O (0.7489, 0.7502, 0.9937)

Top 6 peaks for 2θ = 15–90°, low angle first:
- 2θ = 32.9°, rel. 100.0
- 2θ = 33.1°, rel. 19.7
- 2θ = 47.1°, rel. 17.0
- 2θ = 47.3°, rel. 33.2
- 2θ = 58.7°, rel. 14.7
- 2θ = 69.0°, rel. 23.2

***

Computed X-ray diffraction stick pattern of Sr10Fe4CoMo5O30 for λ = 1.5418 Å (Cu Kα), from a structure optimized by DFT (GGA+U).

abc: 7.9776 9.7368 9.8446
angles: 81.41 66.14 65.88
Positions (direct):
Sr (0.0458, 0.1030, 0.3003)
Sr (0.1474, 0.3041, 0.9018)
Sr (0.2558, 0.4993, 0.4993)
Sr (0.3534, 0.6952, 0.0989)
Sr (0.4486, 0.8974, 0.6994)
Sr (0.5514, 0.1026, 0.3006)
Sr (0.6466, 0.3048, 0.9011)
Sr (0.7442, 0.5007, 0.5007)
Sr (0.8526, 0.6959, 0.0982)
Sr (0.9542, 0.8970, 0.6997)
Fe (0.1997, 0.4026, 0.1987)
Fe (0.4008, 0.8004, 0.3972)
Fe (0.5992, 0.1996, 0.6028)
Fe (0.8003, 0.5974, 0.8013)
Co (0.0000, 0.0000, 0.0000)
Mo (0.1008, 0.1977, 0.5992)
Mo (0.2999, 0.6009, 0.7976)
Mo (0.5000, 0.0000, 0.0000)
Mo (0.7001, 0.3991, 0.2024)
Mo (0.8992, 0.8023, 0.4008)
O (0.0112, 0.6030, 0.3047)
O (0.0255, 0.6296, 0.8127)
O (0.0520, 0.1047, 0.7919)
O (0.1490, 0.2980, 0.4041)
O (0.1611, 0.7727, 0.3862)
O (0.1878, 0.7928, 0.8976)
O (0.2118, 0.0072, 0.5011)
O (0.2376, 0.0269, 0.0134)
O (0.2493, 0.4996, 0.0018)
O (0.3510, 0.6997, 0.6012)
O (0.3604, 0.1731, 0.5869)
O (0.3870, 0.1956, 0.0996)
O (0.4116, 0.4058, 0.7060)
O (0.4260, 0.4267, 0.2154)
O (0.4524, 0.9038, 0.1912)
O (0.5476, 0.0962, 0.8088)
O (0.5740, 0.5733, 0.7846)
O (0.5884, 0.5942, 0.2940)
O (0.6130, 0.8044, 0.9004)
O (0.6396, 0.8269, 0.4131)
O (0.6490, 0.3003, 0.3988)
O (0.7507, 0.5004, 0.9982)
O (0.7624, 0.9731, 0.9866)
O (0.7882, 0.9928, 0.4989)
O (0.8122, 0.2072, 0.1024)
O (0.8389, 0.2273, 0.6138)
O (0.8510, 0.7020, 0.5959)
O (0.9480, 0.8953, 0.2081)
O (0.9745, 0.3704, 0.1873)
O (0.9888, 0.3970, 0.6953)

Top 6 peaks for 2θ = 15–90°, low angle first:
- 2θ = 31.5°, rel. 97.1
- 2θ = 31.6°, rel. 95.9
- 2θ = 31.9°, rel. 100.0
- 2θ = 44.8°, rel. 36.7
- 2θ = 56.0°, rel. 39.4
- 2θ = 56.5°, rel. 38.9

***

Computed X-ray diffraction stick pattern of Li2NiSnO4 for λ = 1.5418 Å (Cu Kα), from a structure optimized by DFT (GGA+U).

abc: 5.2295 6.1872 5.2763
angles: 90.00 108.80 90.00
Positions (direct):
Li (0.0000, 0.0000, 0.0000)
Li (0.0000, 0.2499, 0.5000)
Li (0.0000, 0.5000, 0.0000)
Li (0.0000, 0.7501, 0.5000)
Ni (0.5000, 0.2504, 0.0000)
Ni (0.5000, 0.7496, 0.0000)
Sn (0.5000, 0.0000, 0.5000)
Sn (0.5000, 0.5000, 0.5000)
O (0.2612, 0.2501, 0.2601)
O (0.2612, 0.7499, 0.2601)
O (0.2715, 0.0000, 0.7521)
O (0.2715, 0.5000, 0.7522)
O (0.7285, 0.5000, 0.2478)
O (0.7285, 0.0000, 0.2479)
O (0.7388, 0.2501, 0.7399)
O (0.7388, 0.7499, 0.7399)

Top 6 peaks for 2θ = 15–90°, low angle first:
- 2θ = 17.9°, rel. 100.0
- 2θ = 34.1°, rel. 41.0
- 2θ = 35.8°, rel. 18.3
- 2θ = 41.5°, rel. 47.5
- 2θ = 42.3°, rel. 22.4
- 2θ = 60.6°, rel. 21.4

***

Computed X-ray diffraction stick pattern of Li3Ni4SbO8 for λ = 1.5418 Å (Cu Kα), from a structure optimized by DFT (GGA+U).

abc: 5.9617 5.9617 6.0559
angles: 120.12 120.12 61.02
Positions (direct):
Li (0.0000, 0.0000, 0.0000)
Li (0.0000, 0.5000, 0.5000)
Li (0.5000, 0.0000, 0.5000)
Ni (0.0000, 0.0000, 0.5000)
Ni (0.0000, 0.5000, 0.0000)
Ni (0.5000, 0.0000, 0.0000)
Ni (0.5000, 0.5000, 0.0000)
Sb (0.5000, 0.5000, 0.5000)
O (0.2501, 0.2501, 0.7663)
O (0.2609, 0.2609, 0.2565)
O (0.2624, 0.7358, 0.7356)
O (0.2642, 0.7376, 0.2644)
O (0.7358, 0.2624, 0.7356)
O (0.7376, 0.2642, 0.2644)
O (0.7391, 0.7391, 0.7435)
O (0.7499, 0.7499, 0.2337)

Top 6 peaks for 2θ = 15–90°, low angle first:
- 2θ = 18.1°, rel. 50.0
- 2θ = 18.2°, rel. 100.0
- 2θ = 34.8°, rel. 41.6
- 2θ = 36.7°, rel. 38.9
- 2θ = 42.2°, rel. 98.7
- 2θ = 43.3°, rel. 45.7

***

Computed X-ray diffraction stick pattern of KSrCeMnO6 for λ = 1.5418 Å (Cu Kα), from a structure optimized by DFT (GGA+U).

abc: 5.8552 5.8552 5.8552
angles: 60.00 60.00 60.00
Positions (direct):
K (0.0000, 0.0000, 0.0000)
Sr (0.5000, 0.5000, 0.5000)
Ce (0.7500, 0.7500, 0.7500)
Mn (0.2500, 0.2500, 0.2500)
O (0.0172, 0.0172, 0.4828)
O (0.0172, 0.4828, 0.0172)
O (0.0172, 0.4828, 0.4828)
O (0.4828, 0.0172, 0.0172)
O (0.4828, 0.0172, 0.4828)
O (0.4828, 0.4828, 0.0172)

Top 6 peaks for 2θ = 15–90°, low angle first:
- 2θ = 18.6°, rel. 18.2
- 2θ = 30.5°, rel. 100.0
- 2θ = 43.7°, rel. 36.7
- 2θ = 54.3°, rel. 38.3
- 2θ = 63.6°, rel. 21.4
- 2θ = 88.3°, rel. 20.4

***

Computed X-ray diffraction stick pattern of Li5Mn3O8 for λ = 1.5418 Å (Cu Kα), from a structure optimized by DFT (GGA+U).

abc: 5.8264 5.8264 10.1434
angles: 105.84 105.84 60.83
Positions (direct):
Li (0.0000, 0.5000, 0.5000)
Li (0.2269, 0.2697, 0.7417)
Li (0.2399, 0.7601, 0.7500)
Li (0.2540, 0.7460, 0.2500)
Li (0.2697, 0.2269, 0.2417)
Li (0.5000, 0.0000, 0.0000)
Li (0.7303, 0.7731, 0.7583)
Li (0.7460, 0.2540, 0.7500)
Li (0.7601, 0.2399, 0.2500)
Li (0.7731, 0.7303, 0.2583)
Mn (0.0000, 0.0000, 0.0000)
Mn (0.0000, 0.0000, 0.5000)
Mn (0.0000, 0.5000, 0.0000)
Mn (0.5000, 0.0000, 0.5000)
Mn (0.5000, 0.5000, 0.0000)
Mn (0.5000, 0.5000, 0.5000)
O (0.0923, 0.6476, 0.8806)
O (0.1104, 0.1425, 0.8888)
O (0.1375, 0.6448, 0.3924)
O (0.1425, 0.1104, 0.3888)
O (0.3524, 0.9077, 0.6194)
O (0.3550, 0.3886, 0.1103)
O (0.3552, 0.8625, 0.1076)
O (0.3886, 0.3550, 0.6103)
O (0.6114, 0.6450, 0.3897)
O (0.6448, 0.1375, 0.8924)
O (0.6450, 0.6114, 0.8897)
O (0.6476, 0.0923, 0.3806)
O (0.8575, 0.8896, 0.6112)
O (0.8625, 0.3552, 0.6076)
O (0.8896, 0.8575, 0.1112)
O (0.9077, 0.3524, 0.1194)

Top 6 peaks for 2θ = 15–90°, low angle first:
- 2θ = 18.5°, rel. 100.0
- 2θ = 35.8°, rel. 23.5
- 2θ = 43.4°, rel. 51.5
- 2θ = 44.2°, rel. 24.7
- 2θ = 63.0°, rel. 13.4
- 2θ = 63.9°, rel. 13.3